(1)
Structure and theoretical powder X-ray diffraction pattern of Ta3SbP6O24 (DFT lattice parameters and positions (PBE); Cu Kα X-rays).

Crystal structure
a b c (Å): 9.125 9.125 9.125
angles (deg): 57.91 57.91 57.91
Sites, in units of the cell vectors:
Ta: 0.000 0.000 0.000
Ta: 0.216 0.216 0.216
Ta: 0.716 0.716 0.716
Sb: 0.498 0.498 0.498
P: 0.089 0.392 0.843
P: 0.322 0.896 0.608
P: 0.392 0.843 0.089
P: 0.608 0.322 0.896
P: 0.843 0.089 0.392
P: 0.896 0.608 0.322
O: 0.017 0.104 0.368
O: 0.020 0.243 0.894
O: 0.056 0.419 0.316
O: 0.104 0.368 0.017
O: 0.140 0.970 0.757
O: 0.243 0.894 0.020
O: 0.268 0.381 0.683
O: 0.316 0.056 0.419
O: 0.326 0.723 0.619
O: 0.368 0.017 0.104
O: 0.381 0.683 0.268
O: 0.419 0.316 0.056
O: 0.492 0.861 0.640
O: 0.577 0.795 0.930
O: 0.619 0.326 0.723
O: 0.640 0.492 0.861
O: 0.683 0.268 0.381
O: 0.723 0.619 0.326
O: 0.757 0.140 0.970
O: 0.795 0.930 0.577
O: 0.861 0.640 0.492
O: 0.894 0.020 0.243
O: 0.930 0.577 0.795
O: 0.970 0.757 0.140

The 12 most intense peaks (2θ = 10–90°), by intensity:
2theta	Rel. int.
19.5	100
20.1	84
28.1	57
31.1	43
34.8	37
14.0	35
35.2	26
23.3	25
45.6	21
51.2	20
55.0	19
54.7	16

(2)
Structure and theoretical powder X-ray diffraction pattern of LiMg6BO7 (DFT lattice parameters and positions (PBE); Cu Kα X-rays).

Crystal structure
a b c (Å): 4.277 4.277 8.115
angles (deg): 90.00 90.00 90.00
Sites, in units of the cell vectors:
Li: 0.000 0.000 0.000
Mg: 0.000 0.500 0.255
Mg: 0.000 0.500 0.747
Mg: 0.500 0.000 0.255
Mg: 0.500 0.000 0.747
Mg: 0.500 0.500 0.000
Mg: 0.500 0.500 0.500
B: 0.000 0.000 0.507
O: 0.000 0.000 0.685
O: 0.000 0.500 0.001
O: 0.000 0.500 0.499
O: 0.500 0.000 0.001
O: 0.500 0.000 0.499
O: 0.500 0.500 0.251
O: 0.500 0.500 0.750

The 12 most intense peaks (2θ = 10–90°), by intensity:
2theta	Rel. int.
42.3	100
63.2	45
44.7	37
61.3	28
20.8	26
79.0	21
37.1	13
29.5	11
10.9	10
49.7	8
73.9	6
54.5	6

(3)
Structure and theoretical powder X-ray diffraction pattern of Ba3DySi2O8 (DFT lattice parameters and positions (PBE); Cu Kα X-rays).

Crystal structure
a b c (Å): 5.767 5.767 7.736
angles (deg): 90.00 90.00 120.00
Sites, in units of the cell vectors:
Ba: 0.000 0.000 0.000
Ba: 0.333 0.667 0.688
Ba: 0.667 0.333 0.312
Dy: 0.000 0.000 0.500
Si: 0.333 0.667 0.228
Si: 0.667 0.333 0.772
O: 0.178 0.356 0.309
O: 0.178 0.822 0.309
O: 0.333 0.667 0.020
O: 0.356 0.178 0.691
O: 0.644 0.822 0.309
O: 0.667 0.333 0.980
O: 0.822 0.178 0.691
O: 0.822 0.644 0.691

The 12 most intense peaks (2θ = 10–90°), by intensity:
2theta	Rel. int.
29.2	100
31.0	91
43.1	47
54.1	34
21.2	18
55.2	17
37.9	16
72.5	16
64.6	15
17.8	13
50.6	13
11.4	12